This entry pairs a crystal structure of Sm3AlPd12 with its computed X-ray powder pattern. Radiation: Cu Kα X-rays. Structure: a DFT-relaxed cell (GGA-PBE, Alexandria).
Peak positions follow from Bragg's law for the DFT cell and can differ from measured ones.

Principal peaks in the range 10° ≤ 2θ ≤ 90°, in order of rising 2θ:
| two_theta | d [Å] | I/Imax |
| --- | --- | --- |
| 37.9 | 2.373 | 1000 |
| 43.7 | 2.073 | 357 |
| 44.8 | 2.021 | 132 |
| 63.5 | 1.466 | 115 |
| 64.4 | 1.447 | 173 |
| 76.4 | 1.247 | 250 |

```
Sm3AlPd12
1.0
4.145 0.000 0.000
0.000 4.145 0.000
0.000 0.000 16.168
Sm Al Pd
3 1 12
Direct
0.000 0.000 0.000
0.000 0.000 0.260
0.000 0.000 0.740
0.000 0.000 0.500
0.000 0.500 0.130
0.000 0.500 0.391
0.000 0.500 0.609
0.000 0.500 0.870
0.500 0.000 0.130
0.500 0.000 0.391
0.500 0.000 0.609
0.500 0.000 0.870
0.500 0.500 0.000
0.500 0.500 0.260
0.500 0.500 0.500
0.500 0.500 0.740
```